Structure and computed PXRD pattern of Cs2SnTe2 (a cell relaxed with GGA-PBE; Cu Kα X-rays).
Kinematic intensities with the Lorentz-polarization factor, no thermal factor.

Peak list (6 most intense, 15 to 90 degrees two-theta, sorted by position)
- 21.76 deg, I = 67
- 25.87 deg, I = 72
- 27.53 deg, I = 100
- 30.04 deg, I = 81
- 31.82 deg, I = 61
- 41.91 deg, I = 45

Structure:
Unit cell a=7.4194 b=7.4194 c=14.9937 alpha=90.00 beta=90.00 gamma=145.02
Positions (direct):
Cs: 0.0761 0.9239 0.5000
Cs: 0.3350 0.6650 0.6962
Cs: 0.6650 0.3350 0.1962
Cs: 0.9239 0.0761 0.0000
Sn: 0.3292 0.6708 0.3443
Sn: 0.6708 0.3292 0.8443
Te: 0.0438 0.9562 0.7671
Te: 0.1981 0.8019 0.9885
Te: 0.8019 0.1981 0.4885
Te: 0.9562 0.0438 0.2671

***

Structure and computed PXRD pattern of Ba2SnPtAu6 (a cell relaxed with GGA-PBE; Cu Kα X-rays).
Kinematic intensities with the Lorentz-polarization factor, no thermal factor.

Peak list (6 most intense, 15 to 90 degrees two-theta, sorted by position)
- 18.06 deg, I = 36
- 26.27 deg, I = 36
- 36.06 deg, I = 43
- 36.60 deg, I = 100
- 37.81 deg, I = 24
- 41.01 deg, I = 26

Structure:
Unit cell a=5.7787 b=7.3212 c=7.3881 alpha=78.49 beta=67.00 gamma=66.86
Positions (direct):
Ba: 0.2301 0.2268 0.3098
Ba: 0.7699 0.7732 0.6902
Sn: 0.0000 0.0000 0.0000
Pt: 0.5000 0.5000 0.5000
Au: 0.2448 0.2592 0.7636
Au: 0.2571 0.6048 0.8863
Au: 0.2671 0.7424 0.2372
Au: 0.7329 0.2576 0.7628
Au: 0.7429 0.3952 0.1137
Au: 0.7552 0.7408 0.2364